Starting from a GGA-PBE-relaxed structure, the PXRD pattern of La3Pr2Er was computed for Cu Ka.
Lines closer than 0.1° are merged.

Peak list (8 most intense, 10 to 90 degrees two-theta, by angle)
- 2θ = 28.78°, d = 3.102 Å, intensity 37.6
- 2θ = 29.72°, d = 3.006 Å, intensity 33.8
- 2θ = 31.59°, d = 2.832 Å, intensity 100.0
- 2θ = 35.84°, d = 2.506 Å, intensity 21.0
- 2θ = 49.15°, d = 1.854 Å, intensity 25.1
- 2θ = 53.93°, d = 1.700 Å, intensity 22.1
- 2θ = 58.50°, d = 1.578 Å, intensity 29.7
- 2θ = 59.61°, d = 1.551 Å, intensity 16.3

Structure:
```
data_La3Pr2Er
_cell_length_a 6.4211
_cell_length_b 6.4211
_cell_length_c 12.0246
_cell_angle_alpha 90.00
_cell_angle_beta 90.00
_cell_angle_gamma 120.00
_space_group_name_H-M_alt 'P 1'
_space_group_IT_number 1
loop_
_space_group_symop_operation_xyz
'x,y,z'
loop_
_atom_site_label
_atom_site_type_symbol
_atom_site_fract_x
_atom_site_fract_y
_atom_site_fract_z
La1 La 0.0000 0.3294 0.2500
La2 La 0.0000 0.6706 0.7500
La3 La 0.3294 0.0000 0.2500
La4 La 0.3294 0.3294 0.7500
La5 La 0.6706 0.0000 0.7500
La6 La 0.6706 0.6706 0.2500
Pr1 Pr 0.3333 0.6667 0.0000
Pr2 Pr 0.3333 0.6667 0.5000
Pr3 Pr 0.6667 0.3333 0.0000
Pr4 Pr 0.6667 0.3333 0.5000
Er1 Er 0.0000 0.0000 0.0000
Er2 Er 0.0000 0.0000 0.5000
```


Starting from a GGA-PBE-relaxed structure, the PXRD pattern of Sc5Ga5Ir2 was computed for Cu Ka.
Lines closer than 0.1° are merged.

Peak list (8 most intense, 10 to 90 degrees two-theta, by angle)
- 2θ = 12.76°, d = 6.939 Å, intensity 45.9
- 2θ = 20.26°, d = 4.382 Å, intensity 43.9
- 2θ = 21.53°, d = 4.127 Å, intensity 42.0
- 2θ = 25.65°, d = 3.473 Å, intensity 48.1
- 2θ = 37.38°, d = 2.406 Å, intensity 100.0
- 2θ = 38.94°, d = 2.313 Å, intensity 44.5
- 2θ = 39.05°, d = 2.306 Å, intensity 67.5
- 2θ = 40.74°, d = 2.215 Å, intensity 47.3

Structure:
```
data_Sc5Ga5Ir2
_cell_length_a 7.5082
_cell_length_b 7.5082
_cell_length_c 7.5082
_cell_angle_alpha 145.69
_cell_angle_beta 108.58
_cell_angle_gamma 81.68
_space_group_name_H-M_alt 'P 1'
_space_group_IT_number 1
loop_
_space_group_symop_operation_xyz
'x,y,z'
loop_
_atom_site_label
_atom_site_type_symbol
_atom_site_fract_x
_atom_site_fract_y
_atom_site_fract_z
Sc1 Sc 0.0000 0.0000 0.0000
Sc2 Sc 0.1635 0.8519 0.3116
Sc3 Sc 0.4597 0.1481 0.3116
Sc4 Sc 0.5403 0.8519 0.6884
Sc5 Sc 0.8365 0.1481 0.6884
Ga1 Ga 0.2107 0.5000 0.7107
Ga2 Ga 0.2614 0.2614 0.0000
Ga3 Ga 0.5000 0.5000 0.0000
Ga4 Ga 0.7386 0.7386 0.0000
Ga5 Ga 0.7893 0.5000 0.2893
Ir1 Ir 0.1566 0.6566 0.5000
Ir2 Ir 0.8434 0.3434 0.5000
```


Starting from a GGA-PBE-relaxed structure, the PXRD pattern of Pu4MgSn2 was computed for Cu Ka.
Lines closer than 0.1° are merged.

Peak list (8 most intense, 10 to 90 degrees two-theta, by angle)
- 2θ = 16.33°, d = 5.427 Å, intensity 100.0
- 2θ = 31.32°, d = 2.856 Å, intensity 25.5
- 2θ = 33.01°, d = 2.714 Å, intensity 61.7
- 2θ = 35.52°, d = 2.528 Å, intensity 92.2
- 2θ = 35.91°, d = 2.501 Å, intensity 98.9
- 2θ = 45.21°, d = 2.006 Å, intensity 47.8
- 2θ = 48.38°, d = 1.881 Å, intensity 31.5
- 2θ = 57.10°, d = 1.613 Å, intensity 48.8

Structure:
```
data_Pu4MgSn2
_cell_length_a 7.8795
_cell_length_b 6.3694
_cell_length_c 6.1151
_cell_angle_alpha 78.24
_cell_angle_beta 52.31
_cell_angle_gamma 49.45
_space_group_name_H-M_alt 'P 1'
_space_group_IT_number 1
loop_
_space_group_symop_operation_xyz
'x,y,z'
loop_
_atom_site_label
_atom_site_type_symbol
_atom_site_fract_x
_atom_site_fract_y
_atom_site_fract_z
Pu1 Pu 0.0000 0.0000 0.5000
Pu2 Pu 0.2500 0.2500 0.2500
Pu3 Pu 0.5000 0.5000 0.0000
Pu4 Pu 0.7500 0.7500 0.7500
Mg1 Mg 0.0000 0.0000 0.0000
Sn1 Sn 0.3656 0.3656 0.6344
Sn2 Sn 0.6344 0.6344 0.3656
```